Starting from DFT lattice parameters and positions (PBE), the powder XRD pattern of CsSbRu2O8 was calculated for Cu Kα X-rays.

Top 6 peaks for 10 to 80 degrees two-theta, sorted by position:
d 4.325, rel. 46
d 4.169, rel. 31
d 3.461, rel. 100
d 3.176, rel. 49
d 3.004, rel. 37
d 2.598, rel. 35

```
data_CsSbRu2O8
_space_group_name_H-M_alt 'P 1'
_space_group_IT_number 1
_space_group_name_Hall 'P 1'
_cell_length_a 5.307
_cell_length_b 5.307
_cell_length_c 9.028
_cell_angle_alpha 97.16
_cell_angle_beta 97.16
_cell_angle_gamma 68.94
loop_
_atom_site_label
_atom_site_fract_x
_atom_site_fract_y
_atom_site_fract_z
_atom_site_occupancy
Cs1 0.000 0.000 0.000 1
Sb1 0.000 0.000 0.500 1
Ru1 0.398 0.398 0.708 1
Ru2 0.602 0.602 0.292 1
O1 0.242 0.751 0.318 1
O2 0.244 0.244 0.541 1
O3 0.249 0.758 0.682 1
O4 0.317 0.317 0.874 1
O5 0.683 0.683 0.126 1
O6 0.751 0.242 0.318 1
O7 0.756 0.756 0.459 1
O8 0.758 0.249 0.682 1
```


Starting from DFT lattice parameters and positions (PBE), the powder XRD pattern of Cs2ScRuO6 was calculated for Cu Kα X-rays.

Top 6 peaks for 10 to 80 degrees two-theta, sorted by position:
d 3.903, rel. 82
d 3.274, rel. 100
d 2.509, rel. 52
d 2.430, rel. 36
d 1.952, rel. 32
d 1.676, rel. 33

```
data_Cs2ScRuO6
_space_group_name_H-M_alt 'P 1'
_space_group_IT_number 1
_space_group_name_Hall 'P 1'
_cell_length_a 6.549
_cell_length_b 6.549
_cell_length_c 5.380
_cell_angle_alpha 90.00
_cell_angle_beta 90.00
_cell_angle_gamma 120.00
loop_
_atom_site_label
_atom_site_fract_x
_atom_site_fract_y
_atom_site_fract_z
_atom_site_occupancy
Cs1 0.333 0.667 0.300 1
Cs2 0.667 0.333 0.700 1
Sc1 0.000 0.000 0.000 1
Ru1 0.000 0.000 0.500 1
O1 0.133 0.267 0.721 1
O2 0.133 0.867 0.721 1
O3 0.267 0.133 0.279 1
O4 0.733 0.867 0.721 1
O5 0.867 0.133 0.279 1
O6 0.867 0.733 0.279 1
```


Starting from DFT lattice parameters and positions (PBE), the powder XRD pattern of Cs2Sm2RuO6 was calculated for Cu Kα X-rays.

Top 6 peaks for 10 to 80 degrees two-theta, sorted by position:
d 6.988, rel. 44
d 3.494, rel. 79
d 2.851, rel. 78
d 2.608, rel. 100
d 2.563, rel. 48
d 1.727, rel. 56

```
data_Cs2Sm2RuO6
_space_group_name_H-M_alt 'P 1'
_space_group_IT_number 1
_space_group_name_Hall 'P 1'
_cell_length_a 5.956
_cell_length_b 5.956
_cell_length_c 7.207
_cell_angle_alpha 97.06
_cell_angle_beta 97.06
_cell_angle_gamma 119.57
loop_
_atom_site_label
_atom_site_fract_x
_atom_site_fract_y
_atom_site_fract_z
_atom_site_occupancy
Cs1 0.165 0.835 0.000 1
Cs2 0.835 0.165 0.000 1
Sm1 0.333 0.667 0.500 1
Sm2 0.667 0.333 0.500 1
Ru1 0.000 0.000 0.500 1
O1 0.045 0.353 0.657 1
O2 0.243 0.243 0.345 1
O3 0.353 0.045 0.657 1
O4 0.647 0.955 0.343 1
O5 0.757 0.757 0.655 1
O6 0.955 0.647 0.343 1
```


Starting from DFT lattice parameters and positions (PBE), the powder XRD pattern of Cs2SrRuO6 was calculated for Cu Kα X-rays.

Top 6 peaks for 10 to 80 degrees two-theta, sorted by position:
d 6.180, rel. 45
d 4.199, rel. 50
d 3.303, rel. 100
d 2.719, rel. 49
d 2.596, rel. 35
d 2.099, rel. 39

```
data_Cs2SrRuO6
_space_group_name_H-M_alt 'P 1'
_space_group_IT_number 1
_space_group_name_Hall 'P 1'
_cell_length_a 6.607
_cell_length_b 6.607
_cell_length_c 6.180
_cell_angle_alpha 90.00
_cell_angle_beta 90.00
_cell_angle_gamma 120.00
loop_
_atom_site_label
_atom_site_fract_x
_atom_site_fract_y
_atom_site_fract_z
_atom_site_occupancy
Cs1 0.333 0.667 0.367 1
Cs2 0.667 0.333 0.633 1
Sr1 0.000 0.000 0.000 1
Ru1 0.000 0.000 0.500 1
O1 0.133 0.267 0.682 1
O2 0.133 0.867 0.682 1
O3 0.267 0.133 0.318 1
O4 0.733 0.867 0.682 1
O5 0.867 0.133 0.318 1
O6 0.867 0.733 0.318 1
```


Starting from DFT lattice parameters and positions (PBE), the powder XRD pattern of CsTiRuO6 was calculated for Cu Kα X-rays.

Top 6 peaks for 10 to 80 degrees two-theta, sorted by position:
d 3.754, rel. 100
d 2.646, rel. 23
d 2.163, rel. 14
d 2.058, rel. 33
d 1.674, rel. 19
d 1.580, rel. 12

```
data_CsTiRuO6
_space_group_name_H-M_alt 'P 1'
_space_group_IT_number 1
_space_group_name_Hall 'P 1'
_cell_length_a 5.291
_cell_length_b 5.291
_cell_length_c 6.546
_cell_angle_alpha 90.00
_cell_angle_beta 90.00
_cell_angle_gamma 120.00
loop_
_atom_site_label
_atom_site_fract_x
_atom_site_fract_y
_atom_site_fract_z
_atom_site_occupancy
Cs1 0.000 0.000 0.000 1
Ti1 0.333 0.667 0.521 1
Ru1 0.667 0.333 0.483 1
O1 0.436 0.013 0.671 1
O2 0.446 0.441 0.321 1
O3 0.559 0.004 0.321 1
O4 0.577 0.564 0.671 1
O5 0.987 0.423 0.671 1
O6 0.996 0.554 0.321 1
```


Starting from DFT lattice parameters and positions (PBE), the powder XRD pattern of Cs2U3RuO12 was calculated for Cu Kα X-rays.

Top 6 peaks for 10 to 80 degrees two-theta, sorted by position:
d 6.092, rel. 42
d 3.376, rel. 100
d 3.324, rel. 98
d 3.215, rel. 95
d 1.983, rel. 49
d 1.902, rel. 45

```
data_Cs2U3RuO12
_space_group_name_H-M_alt 'P 1'
_space_group_IT_number 1
_space_group_name_Hall 'P 1'
_cell_length_a 7.622
_cell_length_b 7.622
_cell_length_c 7.622
_cell_angle_alpha 62.72
_cell_angle_beta 62.72
_cell_angle_gamma 62.72
loop_
_atom_site_label
_atom_site_fract_x
_atom_site_fract_y
_atom_site_fract_z
_atom_site_occupancy
Cs1 0.128 0.128 0.128 1
Cs2 0.872 0.872 0.872 1
U1 0.000 0.500 0.500 1
U2 0.500 0.000 0.500 1
U3 0.500 0.500 0.000 1
Ru1 0.500 0.500 0.500 1
O1 0.179 0.179 0.560 1
O2 0.179 0.560 0.179 1
O3 0.201 0.557 0.557 1
O4 0.440 0.821 0.821 1
O5 0.443 0.443 0.799 1
O6 0.443 0.799 0.443 1
O7 0.557 0.201 0.557 1
O8 0.557 0.557 0.201 1
O9 0.560 0.179 0.179 1
O10 0.799 0.443 0.443 1
O11 0.821 0.440 0.821 1
O12 0.821 0.821 0.440 1
```